Simulated powder diffractogram of LiMn2OF5 for Cu Kα, 1.54184 Å, from a structure optimized by DFT (PBE+U).

Crystal structure
```
data_LiMn2OF5
_chemical_formula_sum 'Li4 Mn8 O4 F20'
_symmetry_space_group_name_H-M 'P 1'
_symmetry_Int_Tables_number 1
_symmetry_space_group_name_Hall 'P 1'
_cell_length_a 17.5199
_cell_length_b 4.7051
_cell_length_c 5.0490
_cell_angle_alpha 90.00
_cell_angle_beta 90.00
_cell_angle_gamma 90.00
loop_
_atom_site_label
_atom_site_fract_x
_atom_site_fract_y
_atom_site_fract_z
Li1 0.1299 0.2231 0.0000
Li2 0.3701 0.2231 0.5000
Li3 0.6299 0.7769 0.0000
Li4 0.8701 0.7769 0.5000
Mn1 0.0292 0.2219 0.4853
Mn2 0.1957 0.7295 0.4935
Mn3 0.3043 0.7295 0.9935
Mn4 0.4708 0.2219 0.9853
Mn5 0.5292 0.7781 0.4853
Mn6 0.6957 0.2705 0.4935
Mn7 0.8043 0.2705 0.9935
Mn8 0.9708 0.7781 0.9853
O1 0.0385 0.0081 0.1716
O2 0.4615 0.0081 0.6716
O3 0.5385 0.9919 0.1716
O4 0.9615 0.9919 0.6716
F1 0.0445 0.4669 0.7976
F2 0.1169 0.4527 0.3285
F3 0.1271 0.9946 0.6626
F4 0.2073 0.9579 0.1779
F5 0.2160 0.5137 0.8203
F6 0.2840 0.5137 0.3203
F7 0.2927 0.9579 0.6779
F8 0.3729 0.9946 0.1626
F9 0.3831 0.4527 0.8285
F10 0.4555 0.4669 0.2976
F11 0.5445 0.5331 0.7976
F12 0.6169 0.5473 0.3285
F13 0.6271 0.0054 0.6626
F14 0.7073 0.0421 0.1779
F15 0.7160 0.4863 0.8203
F16 0.7840 0.4863 0.3203
F17 0.7927 0.0421 0.6779
F18 0.8729 0.0054 0.1626
F19 0.8831 0.5473 0.8285
F20 0.9555 0.5331 0.2976
```

Main lines, in order of rising 2θ (2θ = 10–80°):
d 4.544, 2θ = 19.5°, I = 283; d 4.376, 2θ = 20.3°, I = 673; d 3.664, 2θ = 24.3°, I = 555; d 3.378, 2θ = 26.4°, I = 180; d 2.965, 2θ = 30.1°, I = 1000; d 2.226, 2θ = 40.5°, I = 649; d 1.799, 2θ = 50.8°, I = 183; d 1.722, 2θ = 53.2°, I = 717; d 1.529, 2θ = 60.5°, I = 166; d 1.459, 2θ = 63.8°, I = 295